# Pm2Si3Pd4Au
Theoretical powder XRD pattern, Cu Kα (λ = 1.5418 Å). Input: a cell relaxed with GGA-PBE.
Lines closer than 0.1° are merged.

Crystal structure
Cell: 4.2573 4.2573 10.3305 Å, 90.00 90.00 90.00°
Sites, in units of the cell vectors:
Pm 0.0000 0.5000 0.2464
Pm 0.5000 0.0000 0.7536
Si 0.0000 0.0000 0.0000
Si 0.0000 0.5000 0.6201
Si 0.5000 0.0000 0.3799
Pd 0.0000 0.0000 0.5000
Pd 0.0000 0.5000 0.8469
Pd 0.5000 0.0000 0.1531
Pd 0.5000 0.5000 0.5000
Au 0.5000 0.5000 0.0000

Peak list (8 most intense, 2θ from 10° to 90°, most intense first)
d 2.601, I = 100; d 2.129, I = 44; d 2.677, I = 30; d 1.303, I = 23; d 1.859, I = 18; d 3.936, I = 15; d 1.666, I = 15; d 1.505, I = 14

---

# PmZn2PdAu5
Theoretical powder XRD pattern, Cu Kα (λ = 1.5418 Å). Input: a cell relaxed with GGA-PBE.
Lines closer than 0.1° are merged.

Crystal structure
Cell: 4.9024 4.9024 7.4033 Å, 90.00 90.00 90.00°
Sites, in units of the cell vectors:
Pm 0.0000 0.0000 0.0000
Zn 0.5000 0.5000 0.3428
Zn 0.5000 0.5000 0.6572
Pd 0.0000 0.0000 0.5000
Au 0.0000 0.5000 0.2700
Au 0.0000 0.5000 0.7300
Au 0.5000 0.0000 0.2700
Au 0.5000 0.0000 0.7300
Au 0.5000 0.5000 0.0000

Peak list (8 most intense, 2θ from 10° to 90°, most intense first)
d 2.530, I = 100; d 2.451, I = 65; d 1.430, I = 35; d 1.733, I = 23; d 1.477, I = 16; d 1.096, I = 11; d 1.739, I = 11; d 1.163, I = 10

---

# PrPd3Au9
Theoretical powder XRD pattern, Cu Kα (λ = 1.5418 Å). Input: a cell relaxed with GGA-PBE.
Lines closer than 0.1° are merged.

Crystal structure
Cell: 7.1695 7.1695 7.1997 Å, 98.53 98.53 133.74°
Sites, in units of the cell vectors:
Pr 0.0000 0.0000 0.0000
Pd 0.0000 0.0000 0.5000
Pd 0.0000 0.5000 0.0000
Pd 0.5000 0.0000 0.0000
Au 0.0151 0.6699 0.6623
Au 0.2823 0.4998 0.7852
Au 0.3301 0.9849 0.3377
Au 0.4998 0.2823 0.7852
Au 0.5000 0.5000 0.5000
Au 0.5002 0.7177 0.2148
Au 0.6699 0.0151 0.6623
Au 0.7177 0.5002 0.2148
Au 0.9849 0.3301 0.3377

Peak list (8 most intense, 2θ from 10° to 90°, most intense first)
d 2.346, I = 100; d 2.356, I = 62; d 2.141, I = 47; d 2.816, I = 37; d 2.745, I = 35; d 2.403, I = 32; d 2.167, I = 30; d 2.107, I = 28

---

# PrPd12Au7
Theoretical powder XRD pattern, Cu Kα (λ = 1.5418 Å). Input: a cell relaxed with GGA-PBE.
Lines closer than 0.1° are merged.

Crystal structure
Cell: 8.4059 8.4059 8.4059 Å, 109.47 109.47 109.47°
Sites, in units of the cell vectors:
Pr 0.0000 0.0000 0.0000
Pd 0.1171 0.2599 0.8572
Pd 0.1428 0.4026 0.2599
Pd 0.1428 0.8829 0.7401
Pd 0.2599 0.1428 0.4026
Pd 0.2599 0.8572 0.1171
Pd 0.4026 0.2599 0.1428
Pd 0.5974 0.7401 0.8572
Pd 0.7401 0.1428 0.8829
Pd 0.7401 0.8572 0.5974
Pd 0.8572 0.1171 0.2599
Pd 0.8572 0.5974 0.7401
Pd 0.8829 0.7401 0.1428
Au 0.0000 0.0000 0.5000
Au 0.0000 0.5000 0.0000
Au 0.0000 0.5000 0.5000
Au 0.5000 0.0000 0.0000
Au 0.5000 0.0000 0.5000
Au 0.5000 0.5000 0.0000
Au 0.5000 0.5000 0.5000

Peak list (8 most intense, 2θ from 10° to 90°, most intense first)
d 1.981, I = 100; d 3.432, I = 73; d 1.297, I = 52; d 2.427, I = 49; d 2.170, I = 24; d 3.963, I = 20; d 1.535, I = 17; d 2.594, I = 15

---

# PrPd5Au7
Theoretical powder XRD pattern, Cu Kα (λ = 1.5418 Å). Input: a cell relaxed with GGA-PBE.
Lines closer than 0.1° are merged.

Crystal structure
Cell: 7.1471 7.1471 7.1471 Å, 134.32 98.29 99.05°
Sites, in units of the cell vectors:
Pr 0.0000 0.0000 0.0000
Pd 0.0062 0.0073 0.4981
Pd 0.0062 0.5081 0.9989
Pd 0.5092 0.0073 0.0011
Pd 0.5092 0.5081 0.5019
Pd 0.7819 0.2819 0.5000
Au 0.2136 0.5062 0.7074
Au 0.2313 0.7313 0.5000
Au 0.3438 0.3438 0.0000
Au 0.3530 0.0097 0.3433
Au 0.6642 0.6642 0.0000
Au 0.6664 0.0097 0.6567
Au 0.7988 0.5062 0.2926

Peak list (8 most intense, 2θ from 10° to 90°, most intense first)
d 2.342, I = 100; d 2.122, I = 72; d 2.383, I = 46; d 2.718, I = 38; d 2.087, I = 36; d 2.774, I = 36; d 2.320, I = 28; d 1.504, I = 25

---

# PrPd5Au2
Theoretical powder XRD pattern, Cu Kα (λ = 1.5418 Å). Input: a cell relaxed with GGA-PBE.
Lines closer than 0.1° are merged.

Crystal structure
Cell: 4.2375 4.2375 15.8500 Å, 90.00 90.00 90.00°
Sites, in units of the cell vectors:
Pr 0.0000 0.0000 0.0000
Pr 0.5000 0.5000 0.5000
Pd 0.0000 0.0000 0.5000
Pd 0.0000 0.5000 0.1304
Pd 0.0000 0.5000 0.3696
Pd 0.0000 0.5000 0.6304
Pd 0.0000 0.5000 0.8696
Pd 0.5000 0.0000 0.1304
Pd 0.5000 0.0000 0.3696
Pd 0.5000 0.0000 0.6304
Pd 0.5000 0.0000 0.8696
Pd 0.5000 0.5000 0.0000
Au 0.0000 0.0000 0.2514
Au 0.0000 0.0000 0.7486
Au 0.5000 0.5000 0.2486
Au 0.5000 0.5000 0.7514

Peak list (8 most intense, 2θ from 10° to 90°, most intense first)
d 2.390, I = 100; d 2.119, I = 35; d 1.269, I = 28; d 1.447, I = 20; d 1.981, I = 17; d 1.195, I = 12; d 1.498, I = 12; d 1.209, I = 11

---

# Pr3Pd6Au2
Theoretical powder XRD pattern, Cu Kα (λ = 1.5418 Å). Input: a cell relaxed with GGA-PBE.
Lines closer than 0.1° are merged.

Crystal structure
Cell: 8.4741 8.4741 8.4741 Å, 109.47 109.47 109.47°
Sites, in units of the cell vectors:
Pr 0.0000 0.2959 0.2959
Pr 0.0000 0.7041 0.7041
Pr 0.2959 0.0000 0.2959
Pr 0.2959 0.2959 0.0000
Pr 0.7041 0.0000 0.7041
Pr 0.7041 0.7041 0.0000
Pd 0.0000 0.3452 0.6548
Pd 0.0000 0.6548 0.3452
Pd 0.3096 0.6548 0.6548
Pd 0.3452 0.0000 0.6548
Pd 0.3452 0.3452 0.6904
Pd 0.3452 0.6548 0.0000
Pd 0.3452 0.6904 0.3452
Pd 0.6548 0.0000 0.3452
Pd 0.6548 0.3096 0.6548
Pd 0.6548 0.3452 0.0000
Pd 0.6548 0.6548 0.3096
Pd 0.6904 0.3452 0.3452
Au 0.0000 0.0000 0.5000
Au 0.0000 0.5000 0.0000
Au 0.5000 0.0000 0.0000
Au 0.5000 0.5000 0.5000

Peak list (8 most intense, 2θ from 10° to 90°, most intense first)
d 2.306, I = 100; d 2.825, I = 49; d 2.188, I = 40; d 1.332, I = 28; d 1.475, I = 24; d 2.446, I = 23; d 2.615, I = 22; d 6.919, I = 20

---

# Pr3Pd2Au
Theoretical powder XRD pattern, Cu Kα (λ = 1.5418 Å). Input: a cell relaxed with GGA-PBE.
Lines closer than 0.1° are merged.

Crystal structure
Cell: 3.9281 16.3299 4.6779 Å, 90.00 90.00 90.00°
Sites, in units of the cell vectors:
Pr 0.0000 0.0000 0.0000
Pr 0.0000 0.1608 0.5000
Pr 0.0000 0.8392 0.5000
Pr 0.5000 0.3392 0.5000
Pr 0.5000 0.5000 0.0000
Pr 0.5000 0.6608 0.5000
Pd 0.0000 0.3156 0.0000
Pd 0.0000 0.6844 0.0000
Pd 0.5000 0.1844 0.0000
Pd 0.5000 0.8156 0.0000
Au 0.0000 0.5000 0.5000
Au 0.5000 0.0000 0.5000

Peak list (8 most intense, 2θ from 10° to 90°, most intense first)
d 2.633, I = 100; d 2.722, I = 25; d 2.339, I = 18; d 1.554, I = 15; d 1.400, I = 14; d 1.774, I = 14; d 1.964, I = 11; d 1.316, I = 10